Entry 1:
Starting from a structure optimized by DFT (PBE), the X-ray powder pattern of SmAl4OsPd2 was calculated for Cu Kα X-rays.
Peak positions follow from Bragg's law for the DFT cell and can differ from measured ones.

a = 9.251 Å, b = 9.251 Å, c = 9.251 Å
α = 26.62°, β = 26.62°, γ = 26.62°
Sites, in units of the cell vectors:
Sm1 0.000 0.000 0.000
Al1 0.136 0.136 0.136
Al2 0.405 0.405 0.405
Al3 0.595 0.595 0.595
Al4 0.864 0.864 0.864
Os1 0.500 0.500 0.500
Pd1 0.236 0.236 0.236
Pd2 0.764 0.764 0.764

The 6 most intense peaks (2θ from 10° to 80°), in order of falling intensity:
d/Å  Position (°2θ)  I/Imax
3.230  27.6  100
2.478  36.3  74
2.130  42.4  69
1.540  60.1  21
1.615  57.0  20
1.287  73.6  19

=====

Entry 2:
Starting from a structure optimized by DFT (PBE), the X-ray powder pattern of SrMg2Hg was calculated for Cu Kα X-rays.
Peak positions follow from Bragg's law for the DFT cell and can differ from measured ones.

a = 4.695 Å, b = 8.443 Å, c = 6.159 Å
α = 90.00°, β = 112.26°, γ = 90.00°
Sites, in units of the cell vectors:
Sr1 0.058 0.250 0.116
Sr2 0.942 0.750 0.884
Mg1 0.349 0.057 0.699
Mg2 0.349 0.443 0.699
Mg3 0.651 0.557 0.301
Mg4 0.651 0.943 0.301
Hg1 0.229 0.750 0.459
Hg2 0.771 0.250 0.541

The 6 most intense peaks (2θ from 10° to 80°), in order of falling intensity:
d/Å  Position (°2θ)  I/Imax
2.788  32.1  100
3.861  23.0  71
4.222  21.0  60
2.362  38.1  56
5.701  15.5  39
2.038  44.5  35